Diffraction record for TbCdInHg. The X-ray diffraction stick pattern is theoretical, not measured: it uses a structure optimized by DFT (GGA-PBE) and a wavelength of 1.5418 Å.
No peak broadening, texture or thermal motion is included.

Structure:
```
data_TbCdInHg
_space_group_name_H-M_alt 'P m m m'
_space_group_IT_number 47
_cell_length_a 4.326
_cell_length_b 4.753
_cell_length_c 4.761
_cell_angle_alpha 90.00
_cell_angle_beta 90.00
_cell_angle_gamma 90.00
loop_
_space_group_symop_operation_xyz
'x,y,z'
'-x,-y,-z'
'-x,-y,z'
'x,y,-z'
'x,-y,-z'
'-x,y,z'
'-x,y,-z'
'x,-y,z'
loop_
_atom_site_label
_atom_site_type_symbol
_atom_site_fract_x
_atom_site_fract_y
_atom_site_fract_z
_atom_site_occupancy
Tb1 Tb 0.000 0.000 0.000 1
Cd1 Cd 0.000 0.500 0.500 1
In1 In 0.500 0.500 0.000 1
Hg1 Hg 0.500 0.000 0.500 1
```

Most intense lines, 2θ = 10–80°, low angle first:
2θ 18.7, intensity 5; 2θ 27.9, intensity 4; 2θ 33.8, intensity 100; 2θ 37.8, intensity 37; 2θ 41.8, intensity 14; 2θ 54.6, intensity 13; 2θ 57.6, intensity 21; 2θ 65.7, intensity 29; 2θ 71.0, intensity 11; 2θ 71.1, intensity 11